For Pm12IrAu6, a structure optimized by DFT (GGA-PBE) gives the theoretical powder diffractogram in this record (Cu Kα, 1.54184 Å).
Neutral-atom scattering factors, no anomalous dispersion.

Top 12 peaks for 2θ from 15° to 90°, most intense first:
35.81 deg, I = 100.0
22.08 deg, I = 99.6
36.57 deg, I = 96.7
32.08 deg, I = 48.4
29.86 deg, I = 27.6
21.47 deg, I = 25.4
52.11 deg, I = 22.2
66.63 deg, I = 21.1
42.80 deg, I = 19.5
43.13 deg, I = 19.4
37.72 deg, I = 18.6
47.29 deg, I = 18.1

Structural model:
```
Pm12IrAu6
1.0
6.500 3.753 4.139
-6.500 3.753 4.139
0.000 -7.506 4.139
Pm Ir Au
12 1 6
Cartesian
-4.180 -4.293 6.841 Pm
-5.808 1.473 5.576 Pm
-1.583 -2.062 4.913 Pm
1.628 -5.766 5.576 Pm
-2.577 0.340 7.504 Pm
-0.994 2.402 4.913 Pm
0.994 -2.402 7.504 Pm
2.577 -0.340 4.913 Pm
-1.628 5.766 6.841 Pm
1.583 2.062 7.504 Pm
5.808 -1.473 6.841 Pm
4.180 4.293 5.576 Pm
0.000 0.000 0.000 Ir
-3.196 0.538 4.397 Au
1.132 -3.037 4.397 Au
-2.064 -2.499 8.020 Au
2.064 2.499 4.397 Au
-1.132 3.037 8.020 Au
3.196 -0.538 8.020 Au
```